No. 1
Simulated XRD peak list
Compound: TeAsBr3F6
Radiation: copper Kα
Structure: DFT lattice parameters and positions (GGA-PBE)
Neutral-atom scattering factors, no anomalous dispersion.

Largest 10 diffraction maxima, low angle first, 2θ = 10–90°:
13.74 deg, intensity 463; 16.69 deg, intensity 607; 19.32 deg, intensity 465; 21.07 deg, intensity 1000; 21.91 deg, intensity 562; 23.69 deg, intensity 463; 24.37 deg, intensity 564; 26.20 deg, intensity 357; 27.50 deg, intensity 535; 42.90 deg, intensity 327

Structural model:
```
data_TeAsBr3F6
_cell_length_a 8.205
_cell_length_b 10.614
_cell_length_c 12.503
_cell_angle_alpha 90.00
_cell_angle_beta 98.65
_cell_angle_gamma 90.00
_space_group_name_H-M_alt 'P 1 21/c 1'
_space_group_IT_number 14
loop_
_space_group_symop_operation_xyz
'x,y,z'
'-x,-y,-z'
'-x,y+1/2,-z+1/2'
'x,-y+1/2,z+1/2'
loop_
_atom_site_label
_atom_site_type_symbol
_atom_site_fract_x
_atom_site_fract_y
_atom_site_fract_z
Te1 Te 0.183 0.164 0.188
As1 As 0.162 0.725 0.585
Br1 Br 0.239 0.111 0.733
Br2 Br 0.304 0.063 0.360
Br3 Br 0.422 0.138 0.089
F1 F 0.040 0.247 0.489
F2 F 0.089 0.573 0.621
F3 F 0.093 0.711 0.202
F4 F 0.218 0.657 0.466
F5 F 0.226 0.625 0.049
F6 F 0.356 0.692 0.659
```

---

No. 2
Simulated XRD peak list
Compound: CsPdRu2
Radiation: copper Kα
Structure: DFT lattice parameters and positions (GGA-PBE)
Neutral-atom scattering factors, no anomalous dispersion.

Largest 10 diffraction maxima, low angle first, 2θ = 10–90°:
21.02 deg, intensity 144; 24.46 deg, intensity 209; 30.55 deg, intensity 1000; 35.53 deg, intensity 440; 39.82 deg, intensity 481; 45.65 deg, intensity 457; 47.23 deg, intensity 150; 54.41 deg, intensity 192; 69.37 deg, intensity 141; 85.83 deg, intensity 133

Structural model:
```
data_CsPdRu2
_cell_length_a 4.323
_cell_length_b 4.323
_cell_length_c 20.215
_cell_angle_alpha 90.00
_cell_angle_beta 90.00
_cell_angle_gamma 90.00
_space_group_name_H-M_alt 'I -4 2 d'
_space_group_IT_number 122
_space_group_name_Hall 'I -4 2bw'
loop_
_atom_site_label
_atom_site_type_symbol
_atom_site_fract_x
_atom_site_fract_y
_atom_site_fract_z
Cs1 Cs 0.000 0.000 0.000
Pd1 Pd 0.000 0.000 0.500
Ru1 Ru 0.112 0.250 0.625
```

---

No. 3
Simulated XRD peak list
Compound: La2Pm5
Radiation: copper Kα
Structure: DFT lattice parameters and positions (GGA-PBE)
Neutral-atom scattering factors, no anomalous dispersion.

Largest 10 diffraction maxima, low angle first, 2θ = 10–90°:
27.75 deg, intensity 234; 29.97 deg, intensity 256; 31.62 deg, intensity 1000; 41.30 deg, intensity 160; 49.00 deg, intensity 65; 49.11 deg, intensity 130; 54.26 deg, intensity 217; 58.60 deg, intensity 191; 59.52 deg, intensity 109; 80.74 deg, intensity 68

Structural model:
```
data_La2Pm5
_cell_length_a 16.346
_cell_length_b 6.421
_cell_length_c 9.522
_cell_angle_alpha 90.00
_cell_angle_beta 94.37
_cell_angle_gamma 90.00
_space_group_name_H-M_alt 'C 1 2/c 1'
_space_group_IT_number 15
loop_
_space_group_symop_operation_xyz
'x,y,z'
'-x,-y,-z'
'-x,y,-z+1/2'
'x,-y,z+1/2'
'x+1/2,y+1/2,z'
'-x+1/2,-y+1/2,-z'
'-x+1/2,y+1/2,-z+1/2'
'x+1/2,-y+1/2,z+1/2'
loop_
_atom_site_label
_atom_site_type_symbol
_atom_site_fract_x
_atom_site_fract_y
_atom_site_fract_z
La1 La 0.071 0.168 0.107
Pm1 Pm 0.000 0.336 0.750
Pm2 Pm 0.145 0.335 0.465
Pm3 Pm 0.214 0.168 0.821
```

---

No. 4
Simulated XRD peak list
Compound: LiCuF3
Radiation: copper Kα
Structure: DFT lattice parameters and positions (GGA-PBE)
Neutral-atom scattering factors, no anomalous dispersion.

Largest 10 diffraction maxima, low angle first, 2θ = 10–90°:
20.44 deg, intensity 198; 27.70 deg, intensity 1000; 35.79 deg, intensity 128; 40.58 deg, intensity 190; 43.08 deg, intensity 79; 45.85 deg, intensity 180; 52.80 deg, intensity 361; 59.49 deg, intensity 143; 61.82 deg, intensity 79; 64.31 deg, intensity 94

Structural model:
```
data_LiCuF3
_cell_length_a 5.0178
_cell_length_b 5.0178
_cell_length_c 14.3915
_cell_angle_alpha 90.00
_cell_angle_beta 90.00
_cell_angle_gamma 120.00
_space_group_name_H-M_alt 'P 61 2 2'
_space_group_IT_number 178
_space_group_name_Hall 'P 61 2 (0 0 5)'
loop_
_atom_site_label
_atom_site_type_symbol
_atom_site_fract_x
_atom_site_fract_y
_atom_site_fract_z
Li1 Li 0.0337 0.0675 0.2500
Cu1 Cu 0.3074 0.6148 0.7500
F1 F 0.0000 0.2815 0.8333
F2 F 0.0648 0.3719 0.1584
```

---

No. 5
Simulated XRD peak list
Compound: ScMn2Tc
Radiation: copper Kα
Structure: DFT lattice parameters and positions (GGA-PBE)
Neutral-atom scattering factors, no anomalous dispersion.

Largest 10 diffraction maxima, low angle first, 2θ = 10–90°:
25.00 deg, intensity 82; 28.95 deg, intensity 63; 41.40 deg, intensity 1000; 48.97 deg, intensity 42; 51.31 deg, intensity 18; 59.99 deg, intensity 155; 66.01 deg, intensity 18; 67.96 deg, intensity 24; 75.50 deg, intensity 301; 89.97 deg, intensity 96

Structural model:
```
data_ScMn2Tc
_cell_length_a 6.169
_cell_length_b 6.169
_cell_length_c 6.169
_cell_angle_alpha 90.00
_cell_angle_beta 90.00
_cell_angle_gamma 90.00
_space_group_name_H-M_alt 'F -4 3 m'
_space_group_IT_number 216
_space_group_name_Hall 'F -4 2 3'
loop_
_atom_site_label
_atom_site_type_symbol
_atom_site_fract_x
_atom_site_fract_y
_atom_site_fract_z
Sc1 Sc 0.000 0.000 0.000
Mn1 Mn 0.000 0.000 0.500
Mn2 Mn 0.250 0.250 0.250
Tc1 Tc 0.250 0.250 0.750
```

---

No. 6
Simulated XRD peak list
Compound: Na2Pa4S9
Radiation: copper Kα
Structure: DFT lattice parameters and positions (GGA-PBE)
Neutral-atom scattering factors, no anomalous dispersion.

Largest 10 diffraction maxima, low angle first, 2θ = 10–90°:
14.62 deg, intensity 957; 17.42 deg, intensity 517; 24.00 deg, intensity 1000; 25.46 deg, intensity 945; 35.27 deg, intensity 460; 38.63 deg, intensity 907; 44.00 deg, intensity 484; 44.87 deg, intensity 472; 50.98 deg, intensity 278; 60.66 deg, intensity 235

Structural model:
```
data_Na2Pa4S9
_cell_length_a 6.9975
_cell_length_b 6.9975
_cell_length_c 18.7536
_cell_angle_alpha 90.00
_cell_angle_beta 90.00
_cell_angle_gamma 120.00
_space_group_name_H-M_alt 'P -3 c 1'
_space_group_IT_number 165
_space_group_name_Hall '-P 3 2"c'
loop_
_atom_site_label
_atom_site_type_symbol
_atom_site_fract_x
_atom_site_fract_y
_atom_site_fract_z
Na1 Na 0.0000 0.0000 0.1526
Pa1 Pa 0.3333 0.6667 0.0144
Pa2 Pa 0.3333 0.6667 0.3187
S1 S 0.0000 0.3329 0.2500
S2 S 0.0313 0.3835 0.9180
```

---

No. 7
Simulated XRD peak list
Compound: Pu5Ir2Rh
Radiation: copper Kα
Structure: DFT lattice parameters and positions (GGA-PBE)
Neutral-atom scattering factors, no anomalous dispersion.

Largest 10 diffraction maxima, low angle first, 2θ = 10–90°:
36.62 deg, intensity 1000; 36.74 deg, intensity 618; 37.37 deg, intensity 296; 52.30 deg, intensity 113; 53.35 deg, intensity 208; 65.88 deg, intensity 117; 66.05 deg, intensity 163; 66.82 deg, intensity 106; 67.08 deg, intensity 86; 77.90 deg, intensity 71

Structural model:
```
data_Pu5Ir2Rh
_cell_length_a 5.935
_cell_length_b 5.964
_cell_length_c 6.018
_cell_angle_alpha 110.02
_cell_angle_beta 109.86
_cell_angle_gamma 107.97
_space_group_name_H-M_alt 'P 1'
_space_group_IT_number 1
loop_
_space_group_symop_operation_xyz
'x,y,z'
loop_
_atom_site_label
_atom_site_type_symbol
_atom_site_fract_x
_atom_site_fract_y
_atom_site_fract_z
Pu1 Pu 0.000 0.000 0.000
Pu2 Pu 0.008 0.498 0.502
Pu3 Pu 0.506 0.995 0.497
Pu4 Pu 0.526 0.498 0.000
Pu5 Pu 0.945 0.502 0.000
Ir1 Ir 0.024 0.028 0.533
Ir2 Ir 0.490 0.494 0.466
Rh1 Rh 0.481 0.963 0.000
```

---

No. 8
Simulated XRD peak list
Compound: Ac4Zn3Ni
Radiation: copper Kα
Structure: DFT lattice parameters and positions (GGA-PBE)
Neutral-atom scattering factors, no anomalous dispersion.

Largest 10 diffraction maxima, low angle first, 2θ = 10–90°:
23.03 deg, intensity 317; 32.80 deg, intensity 1000; 40.46 deg, intensity 99; 46.92 deg, intensity 56; 47.13 deg, intensity 125; 53.08 deg, intensity 97; 58.46 deg, intensity 116; 58.59 deg, intensity 254; 68.70 deg, intensity 71; 78.40 deg, intensity 111

Structural model:
```
data_Ac4Zn3Ni
_cell_length_a 3.856
_cell_length_b 3.856
_cell_length_c 15.490
_cell_angle_alpha 90.00
_cell_angle_beta 90.00
_cell_angle_gamma 90.00
_space_group_name_H-M_alt 'P 4/m m m'
_space_group_IT_number 123
_space_group_name_Hall '-P 4 2'
loop_
_atom_site_label
_atom_site_type_symbol
_atom_site_fract_x
_atom_site_fract_y
_atom_site_fract_z
Ac1 Ac 0.000 0.000 0.114
Ac2 Ac 0.000 0.000 0.372
Zn1 Zn 0.500 0.500 0.246
Zn2 Zn 0.500 0.500 0.500
Ni1 Ni 0.500 0.500 0.000
```